Cu7Ag13: theoretical PXRD pattern (Cu Kα X-rays), based on DFT lattice parameters and positions (GGA-PBE).

Structural model:
a = 5.694 Å, b = 9.702 Å, c = 12.324 Å
α = 106.30°, β = 103.18°, γ = 90.18°
Positions (direct):
Cu 0.000 0.000 0.000
Cu 0.000 0.488 0.996
Cu 0.073 0.439 0.608
Cu 0.314 0.201 0.610
Cu 0.354 0.635 0.192
Cu 0.407 0.580 0.795
Cu 0.425 0.104 0.804
Cu 0.540 0.436 0.612
Cu 0.602 0.397 0.193
Cu 0.657 0.336 0.805
Cu 0.755 0.240 0.991
Cu 0.849 0.638 0.195
Cu 0.894 0.100 0.809
Cu 0.959 0.047 0.408
Ag 0.063 0.957 0.608
Ag 0.089 0.401 0.186
Ag 0.103 0.891 0.199
Ag 0.154 0.852 0.804
Ag 0.168 0.339 0.801
Ag 0.199 0.790 0.395
Ag 0.207 0.294 0.415
Ag 0.248 0.237 0.995
Ag 0.254 0.733 0.995
Ag 0.305 0.680 0.602
Ag 0.355 0.152 0.203
Ag 0.449 0.536 0.390
Ag 0.453 0.046 0.408
Ag 0.512 0.998 0.001
Ag 0.520 0.486 0.003
Ag 0.559 0.949 0.609
Ag 0.608 0.889 0.203
Ag 0.658 0.845 0.804
Ag 0.706 0.793 0.399
Ag 0.710 0.297 0.410
Ag 0.758 0.736 0.998
Ag 0.804 0.679 0.598
Ag 0.806 0.205 0.610
Ag 0.856 0.152 0.201
Ag 0.896 0.576 0.795
Ag 0.948 0.537 0.391

The 6 most intense peaks (2θ from 10° to 80°), low angle first:
| two_theta | Rel. int. |
| --- | --- |
| 39.07 | 100 |
| 39.17 | 97 |
| 45.04 | 32 |
| 45.21 | 32 |
| 46.21 | 29 |
| 66.60 | 18 |



Al5Re24: theoretical PXRD pattern (Cu Kα X-rays), based on DFT lattice parameters and positions (GGA-PBE).

Structural model:
a = 8.309 Å, b = 8.309 Å, c = 8.309 Å
α = 109.47°, β = 109.47°, γ = 109.47°
Positions (direct):
Al 0.000 0.000 0.000
Al 0.000 0.000 0.647
Al 0.000 0.647 0.000
Al 0.353 0.353 0.353
Al 0.647 0.000 0.000
Re 0.000 0.192 0.376
Re 0.000 0.376 0.192
Re 0.000 0.399 0.681
Re 0.000 0.681 0.399
Re 0.184 0.808 0.808
Re 0.192 0.000 0.376
Re 0.192 0.376 0.000
Re 0.282 0.601 0.601
Re 0.319 0.319 0.718
Re 0.319 0.718 0.319
Re 0.376 0.000 0.192
Re 0.376 0.192 0.000
Re 0.399 0.000 0.681
Re 0.399 0.681 0.000
Re 0.601 0.282 0.601
Re 0.601 0.601 0.282
Re 0.624 0.624 0.816
Re 0.624 0.816 0.624
Re 0.681 0.000 0.399
Re 0.681 0.399 0.000
Re 0.718 0.319 0.319
Re 0.808 0.184 0.808
Re 0.808 0.808 0.184
Re 0.816 0.624 0.624

The 6 most intense peaks (2θ from 10° to 80°), low angle first:
| two_theta | Rel. int. |
| --- | --- |
| 22.70 | 21 |
| 39.87 | 100 |
| 44.28 | 44 |
| 48.38 | 46 |
| 72.38 | 30 |
| 73.93 | 14 |



Mg2Fe: theoretical PXRD pattern (Cu Kα X-rays), based on DFT lattice parameters and positions (GGA-PBE).

Structural model:
a = 4.240 Å, b = 10.970 Å, c = 4.408 Å
α = 90.00°, β = 90.00°, γ = 90.00°
Positions (direct):
Mg 0.000 0.000 0.000
Mg 0.000 0.173 0.500
Mg 0.000 0.500 0.500
Mg 0.000 0.827 0.500
Mg 0.500 0.000 0.500
Mg 0.500 0.327 0.500
Mg 0.500 0.500 0.000
Mg 0.500 0.673 0.500
Fe 0.000 0.314 0.000
Fe 0.000 0.686 0.000
Fe 0.500 0.186 0.000
Fe 0.500 0.814 0.000

The 6 most intense peaks (2θ from 10° to 80°), low angle first:
| two_theta | Rel. int. |
| --- | --- |
| 16.16 | 18 |
| 20.15 | 13 |
| 38.39 | 100 |
| 40.95 | 22 |
| 42.64 | 20 |
| 72.88 | 13 |